For Sc2Co2Tc, a cell relaxed with GGA-PBE gives the simulated PXRD pattern in this record (Cu Kα X-rays).
Lines closer than 0.1° are merged.

Unit cell a=6.2292 b=6.2292 c=4.0771 alpha=90.00 beta=90.00 gamma=90.00
Space group P4/mbm (No. 127)
Symmetry-distinct sites (fractional):
Sc1 0.1788 0.3212 0.0000 [4 per cell]
Co1 0.1320 0.6320 0.5000 [4 per cell]
Tc1 0.0000 0.0000 0.5000 [2 per cell]

Top 12 peaks for 2θ = 10–90°, by intensity:
2θ (°)	I_rel	(hkl)
39.16	1000	2 1 1
36.30	557	2 0 1
46.08	546	3 1 0
21.80	448	0 0 1
65.94	420	3 1 2
44.44	356	0 0 2
51.53	318	3 1 1
40.98	173	2 2 0
29.86	165	1 1 1
78.27	145	2 1 3
82.41	135	5 1 1
71.59	119	4 2 1

For Sc2Co3Tc, a cell relaxed with GGA-PBE gives the simulated PXRD pattern in this record (Cu Kα X-rays).
Lines closer than 0.1° are merged.

Unit cell a=4.9707 b=4.9707 c=7.9941 alpha=90.00 beta=90.00 gamma=120.00
Space group P6_3/mmc (No. 194)
Symmetry-distinct sites (fractional):
Sc1 0.3333 0.6667 0.0652 [4 per cell]
Co1 0.1721 0.3442 0.7500 [6 per cell]
Tc1 0.0000 0.0000 0.0000 [2 per cell]

Top 12 peaks for 2θ = 10–90°, by intensity:
2θ (°)	I_rel	(hkl)
42.85	1000	1 1 2
43.55	699	2 0 1
20.63	438	1 0 0
39.78	427	1 0 3
48.01	384	2 0 2
36.14	272	1 1 0
45.38	224	0 0 4
76.69	222	2 2 0
69.62	218	3 0 2
50.34	203	1 0 4
73.83	181	2 0 5
75.32	158	2 1 4

For ScCo2Tc2, a cell relaxed with GGA-PBE gives the simulated PXRD pattern in this record (Cu Kα X-rays).
Lines closer than 0.1° are merged.

Unit cell a=3.7830 b=3.7830 c=10.4988 alpha=90.00 beta=90.00 gamma=90.00
Space group I4/mmm (No. 139)
Symmetry-distinct sites (fractional):
Sc1 0.0000 0.0000 0.0000 [2 per cell]
Co1 0.0000 0.0000 0.3978 [4 per cell]
Tc1 0.0000 0.5000 0.2500 [4 per cell]

Top 12 peaks for 2θ = 10–90°, by intensity:
2θ (°)	I_rel	(hkl)
37.74	1000	1 1 2
48.11	421	2 0 0
48.60	413	1 1 4
16.89	351	0 0 2
82.75	188	3 1 2
49.66	155	1 0 5
70.40	126	2 2 0
34.93	122	1 0 3
25.02	113	1 0 1
73.77	105	2 0 6
71.63	93	2 1 5
34.16	84	0 0 4

For ScTiCo2, a cell relaxed with GGA-PBE gives the simulated PXRD pattern in this record (Cu Kα X-rays).
Lines closer than 0.1° are merged.

Unit cell a=3.0225 b=3.0225 c=6.2141 alpha=90.00 beta=90.00 gamma=90.00
Space group P4/mmm (No. 123)
Symmetry-distinct sites (fractional):
Sc1 0.0000 0.0000 0.0000 [1 per cell]
Ti1 0.0000 0.0000 0.5000 [1 per cell]
Co1 0.5000 0.5000 0.2748 [2 per cell]

Top 12 peaks for 2θ = 10–90°, by intensity:
2θ (°)	I_rel	(hkl)
41.69	1000	1 0 2
42.29	507	1 1 0
76.92	279	2 1 2
61.34	152	2 0 0
75.68	123	1 1 4
59.50	67	0 0 4
14.25	43	0 0 1
53.64	36	1 0 3
29.55	30	1 0 0
84.24	18	1 0 5
62.44	18	1 1 3
85.85	17	2 1 3

For Sc2TiCo3, a cell relaxed with GGA-PBE gives the simulated PXRD pattern in this record (Cu Kα X-rays).
Lines closer than 0.1° are merged.

Unit cell a=4.3679 b=13.0844 c=3.0583 alpha=90.00 beta=90.00 gamma=90.00
Space group Cmmm (No. 65)
Symmetry-distinct sites (fractional):
Sc1 0.0000 0.1664 0.0000 [4 per cell]
Ti1 0.0000 0.5000 0.0000 [2 per cell]
Co1 0.0000 0.0000 0.5000 [2 per cell]
Co2 0.0000 0.3458 0.5000 [4 per cell]

Top 12 peaks for 2θ = 10–90°, by intensity:
2θ (°)	I_rel	(hkl)
41.57	1000	1 3 1
41.37	497	2 0 0
75.58	268	3 3 1
59.94	144	2 6 0
75.99	140	2 0 2
60.55	76	0 0 2
28.93	28	1 3 0
89.82	24	4 0 0
13.53	18	0 2 0
89.99	17	0 12 0
29.20	16	0 0 1
50.43	13	1 5 1

For Sc12TlCo5, a cell relaxed with GGA-PBE gives the simulated PXRD pattern in this record (Cu Kα X-rays).
Lines closer than 0.1° are merged.

Unit cell a=8.6164 b=8.7504 c=9.2681 alpha=90.00 beta=90.00 gamma=90.00
Space group Immm (No. 71)
Symmetry-distinct sites (fractional):
Sc1 0.0000 0.1977 0.1857 [8 per cell]
Sc2 0.1840 0.2223 0.5000 [8 per cell]
Sc3 0.1950 0.5000 0.2786 [8 per cell]
Tl1 0.0000 0.5000 0.0000 [2 per cell]
Co1 0.0000 0.0000 0.3815 [4 per cell]
Co2 0.0000 0.5000 0.5000 [2 per cell]
Co3 0.1358 0.0000 0.0000 [4 per cell]

Top 12 peaks for 2θ = 10–90°, by intensity:
2θ (°)	I_rel	(hkl)
35.06	1000	2 2 2
38.28	711	3 1 2
37.12	666	1 2 3
20.30	400	0 2 0
65.63	346	3 5 2
24.96	344	2 1 1
41.27	334	0 4 0
38.52	328	2 3 1
19.15	252	0 0 2
20.62	222	2 0 0
41.66	199	1 1 4
38.87	170	0 0 4

For Tm3ScCo, a cell relaxed with GGA-PBE gives the simulated PXRD pattern in this record (Cu Kα X-rays).
Lines closer than 0.1° are merged.

Unit cell a=7.5700 b=9.8077 c=7.0179 alpha=90.00 beta=90.00 gamma=90.00
Space group Imma (No. 74)
Symmetry-distinct sites (fractional):
Tm1 0.0000 0.2500 0.0012 [4 per cell]
Tm2 0.2500 0.0142 0.7500 [8 per cell]
Sc1 0.0000 0.2500 0.4866 [4 per cell]
Co1 0.2500 0.2500 0.2500 [4 per cell]

Top 12 peaks for 2θ = 10–90°, by intensity:
2θ (°)	I_rel	(hkl)
34.87	1000	2 0 2
29.82	936	2 2 0
31.35	820	0 2 2
51.48	611	2 4 2
36.65	407	0 4 0
58.52	282	4 2 2
61.22	244	2 2 4
17.23	220	1 0 1
48.08	208	4 0 0
25.08	186	1 2 1
61.94	174	4 4 0
52.13	157	0 0 4

For TmSc3Co, a cell relaxed with GGA-PBE gives the simulated PXRD pattern in this record (Cu Kα X-rays).
Lines closer than 0.1° are merged.

Unit cell a=7.4891 b=9.3524 c=6.7895 alpha=90.00 beta=90.00 gamma=90.00
Space group Imma (No. 74)
Symmetry-distinct sites (fractional):
Tm1 0.0000 0.2500 0.0057 [4 per cell]
Sc1 0.0000 0.2500 0.5073 [4 per cell]
Sc2 0.2500 0.0140 0.2500 [8 per cell]
Co1 0.2500 0.2500 0.7500 [4 per cell]

Top 12 peaks for 2θ = 10–90°, by intensity:
2θ (°)	I_rel	(hkl)
35.70	1000	2 0 2
30.59	655	2 2 0
18.98	633	0 2 0
17.63	625	1 0 1
53.51	579	2 4 2
32.59	549	0 2 2
26.02	508	1 2 1
38.49	487	0 4 0
40.74	366	2 2 2
48.63	201	4 0 0
63.67	193	4 4 0
59.78	191	4 2 2

For Tm4Sc3Co2, a cell relaxed with GGA-PBE gives the simulated PXRD pattern in this record (Cu Kα X-rays).
Lines closer than 0.1° are merged.

Unit cell a=15.6949 b=3.4702 c=8.4541 alpha=90.00 beta=113.24 gamma=90.00
Space group C2/m (No. 12)
Symmetry-distinct sites (fractional):
Tm1 0.1274 0.0000 0.3895 [4 per cell]
Tm2 0.2302 0.5000 0.1536 [4 per cell]
Sc1 0.0000 0.5000 0.0000 [2 per cell]
Sc2 0.0702 0.5000 0.6919 [4 per cell]
Co1 0.1127 0.0000 0.9322 [4 per cell]

Top 12 peaks for 2θ = 10–90°, by intensity:
2θ (°)	I_rel	(hkl)
31.21	1000	4 0 1
36.87	691	1 1 2
31.78	470	2 0 -3
35.32	433	6 0 -2
33.54	376	1 1 -2
12.28	338	2 0 0
19.83	244	2 0 1
40.68	241	5 1 0
52.36	219	5 1 -4
33.72	191	4 0 -3
30.14	182	2 0 2
52.76	177	0 2 0

For Sc2VCo3, a cell relaxed with GGA-PBE gives the simulated PXRD pattern in this record (Cu Kα X-rays).
Lines closer than 0.1° are merged.

Unit cell a=5.0714 b=5.0714 c=7.5635 alpha=90.00 beta=90.00 gamma=120.00
Space group P6_3/mmc (No. 194)
Symmetry-distinct sites (fractional):
Sc1 0.3333 0.6667 0.0612 [4 per cell]
V1 0.0000 0.0000 0.0000 [2 per cell]
Co1 0.1719 0.3437 0.7500 [6 per cell]

Top 12 peaks for 2θ = 10–90°, by intensity:
2θ (°)	I_rel	(hkl)
42.91	1000	2 0 1
41.29	277	1 0 3
47.90	131	2 0 2
74.90	129	2 2 0
76.46	127	2 0 5
48.12	100	0 0 4
68.76	100	3 0 2
67.56	91	2 1 3
35.40	80	1 1 0
41.10	65	2 0 0
23.52	64	0 0 2
23.42	64	1 0 1

For Sc2CoW, a cell relaxed with GGA-PBE gives the simulated PXRD pattern in this record (Cu Kα X-rays).
Lines closer than 0.1° are merged.

Unit cell a=2.9746 b=2.9746 c=8.1907 alpha=90.00 beta=90.00 gamma=90.00
Space group P4mm (No. 99)
Symmetry-distinct sites (fractional):
Sc1 0.0000 0.0000 0.0000 [1 per cell]
Sc2 0.5000 0.5000 0.3537 [1 per cell]
Co1 0.5000 0.5000 0.7774 [1 per cell]
W1 0.0000 0.0000 0.6054 [1 per cell]

Top 12 peaks for 2θ = 10–90°, by intensity:
2θ (°)	I_rel	(hkl)
10.80	1000	0 0 1
37.36	565	1 0 2
45.07	270	1 0 3
43.00	252	1 1 0
32.01	143	1 0 1
75.08	139	2 1 2
44.47	136	1 1 1
80.28	97	2 1 3
30.04	85	1 0 0
21.70	83	0 0 2
62.44	80	2 0 0
73.24	71	1 1 5

For YSc12Co5, a cell relaxed with GGA-PBE gives the simulated PXRD pattern in this record (Cu Kα X-rays).
Lines closer than 0.1° are merged.

Unit cell a=8.6152 b=8.6931 c=9.6794 alpha=90.00 beta=90.00 gamma=90.00
Space group Immm (No. 71)
Symmetry-distinct sites (fractional):
Y1 0.0000 0.0000 0.0000 [2 per cell]
Sc1 0.0000 0.3156 0.1858 [8 per cell]
Sc2 0.1792 0.2739 0.5000 [8 per cell]
Sc3 0.1900 0.0000 0.2818 [8 per cell]
Co1 0.0000 0.0000 0.5000 [2 per cell]
Co2 0.0000 0.5000 0.3819 [4 per cell]
Co3 0.1526 0.5000 0.0000 [4 per cell]

Top 12 peaks for 2θ = 10–90°, by intensity:
2θ (°)	I_rel	(hkl)
34.69	1000	2 2 2
37.87	980	3 1 2
36.21	757	1 2 3
38.72	517	3 2 1
20.43	429	0 2 0
41.55	399	0 4 0
38.58	361	2 3 1
65.68	294	3 5 2
64.98	285	6 0 0
24.83	265	2 1 1
41.92	229	4 0 0
37.15	222	0 0 4